Record 1
Diffraction record for W3Se2S4. The powder X-ray diffraction pattern is theoretical, not measured: it uses a structure optimized by DFT (GGA-PBE) and CuKα.

Atomic structure:
```
W3Se2S4
1.0
3.231 0.000 0.000
-1.616 2.799 0.000
0.000 0.000 29.706
W Se S
3 2 4
direct
0.000 0.000 0.000 W
0.000 0.000 0.463 W
0.333 0.667 0.231 W
0.333 0.667 0.405 Se
0.333 0.667 0.521 Se
0.000 0.000 0.179 S
0.000 0.000 0.284 S
0.333 0.667 0.052 S
0.333 0.667 0.948 S
```

The 10 most intense peaks (2θ = 10–90°), in order of rising 2θ:
d 7.426, 11.9 deg, I 100; d 5.941, 14.9 deg, I 24; d 2.799, 32.0 deg, I 17; d 2.750, 32.6 deg, I 17; d 2.619, 34.2 deg, I 14; d 2.436, 36.9 deg, I 33; d 2.336, 38.5 deg, I 34; d 2.037, 44.5 deg, I 13; d 1.943, 46.7 deg, I 28; d 1.616, 57.0 deg, I 18



Record 2
Diffraction record for BaIn4Ir. The powder X-ray diffraction pattern is theoretical, not measured: it uses a structure optimized by DFT (GGA-PBE) and CuKα.

Atomic structure:
```
BaIn4Ir
1.0
8.745 0.000 0.000
0.000 4.472 0.000
0.000 0.000 8.070
Ba In Ir
2 8 2
direct
0.250 0.000 0.108 Ba
0.750 0.000 0.892 Ba
0.000 0.000 0.500 In
0.068 0.500 0.800 In
0.250 0.500 0.445 In
0.432 0.500 0.800 In
0.500 0.000 0.500 In
0.568 0.500 0.200 In
0.750 0.500 0.555 In
0.932 0.500 0.200 In
0.250 0.000 0.684 Ir
0.750 0.000 0.316 Ir
```

The 10 most intense peaks (2θ = 10–90°), in order of rising 2θ:
d 8.070, 11.0 deg, I 30; d 5.931, 14.9 deg, I 38; d 3.127, 28.5 deg, I 23; d 2.915, 30.7 deg, I 62; d 2.834, 31.6 deg, I 100; d 2.571, 34.9 deg, I 27; d 2.471, 36.4 deg, I 80; d 2.337, 38.5 deg, I 43; d 2.236, 40.3 deg, I 50; d 1.332, 70.7 deg, I 24



Record 3
Diffraction record for SmTlO2. The powder X-ray diffraction pattern is theoretical, not measured: it uses a structure optimized by DFT (GGA-PBE) and CuKα.

Atomic structure:
```
SmTlO2
1.0
3.608 0.000 0.000
-1.804 3.125 0.000
0.000 0.000 12.997
Sm Tl O
2 2 4
direct
0.000 0.000 0.000 Sm
0.000 0.000 0.500 Sm
0.333 0.667 0.250 Tl
0.667 0.333 0.750 Tl
0.333 0.667 0.588 O
0.333 0.667 0.912 O
0.667 0.333 0.088 O
0.667 0.333 0.412 O
```

The 10 most intense peaks (2θ = 10–90°), in order of rising 2θ:
d 3.249, 27.4 deg, I 45; d 3.038, 29.4 deg, I 51; d 2.816, 31.8 deg, I 100; d 2.534, 35.4 deg, I 52; d 1.998, 45.4 deg, I 17; d 1.804, 50.6 deg, I 34; d 1.780, 51.3 deg, I 31; d 1.577, 58.5 deg, I 34; d 1.519, 61.0 deg, I 16; d 1.207, 79.4 deg, I 15



Record 4
Diffraction record for InRh3PbS2. The powder X-ray diffraction pattern is theoretical, not measured: it uses a structure optimized by DFT (GGA-PBE) and CuKα.

Atomic structure:
```
InRh3PbS2
1.0
2.872 1.658 4.670
-2.872 1.658 4.670
0.000 -3.316 4.670
In Rh Pb S
1 3 1 2
direct
0.000 0.000 0.000 In
0.000 0.500 0.500 Rh
0.500 0.000 0.500 Rh
0.500 0.500 0.000 Rh
0.500 0.500 0.500 Pb
0.218 0.218 0.218 S
0.782 0.782 0.782 S
```

The 10 most intense peaks (2θ = 10–90°), in order of rising 2θ:
d 4.683, 19.0 deg, I 79; d 4.056, 21.9 deg, I 27; d 2.868, 31.2 deg, I 78; d 2.447, 36.7 deg, I 56; d 2.344, 38.4 deg, I 100; d 2.335, 38.6 deg, I 37; d 2.028, 44.7 deg, I 90; d 1.436, 64.9 deg, I 31; d 1.432, 65.1 deg, I 25; d 1.224, 78.1 deg, I 41



Record 5
Diffraction record for HoLu3. The powder X-ray diffraction pattern is theoretical, not measured: it uses a structure optimized by DFT (GGA-PBE) and CuKα.

Atomic structure:
```
HoLu3
1.0
7.069 0.000 0.000
-3.535 6.122 0.000
0.000 0.000 5.523
Ho Lu
2 6
direct
0.333 0.667 0.250 Ho
0.667 0.333 0.750 Ho
0.166 0.333 0.750 Lu
0.166 0.834 0.750 Lu
0.333 0.166 0.250 Lu
0.667 0.834 0.750 Lu
0.834 0.166 0.250 Lu
0.834 0.667 0.250 Lu
```

The 10 most intense peaks (2θ = 10–90°), in order of rising 2θ:
d 3.061, 29.2 deg, I 24; d 2.762, 32.4 deg, I 24; d 2.677, 33.5 deg, I 100; d 2.050, 44.2 deg, I 16; d 1.767, 51.7 deg, I 20; d 1.578, 58.5 deg, I 20; d 1.489, 62.4 deg, I 22; d 1.475, 63.0 deg, I 16; d 1.177, 81.8 deg, I 8; d 1.132, 85.8 deg, I 14



Record 6
Diffraction record for Ti2Zn2SnO7. The powder X-ray diffraction pattern is theoretical, not measured: it uses a structure optimized by DFT (GGA-PBE) and CuKα.

Atomic structure:
```
Ti2Zn2SnO7
1.0
6.973 -4.146 0.000
6.973 4.146 0.000
0.000 0.000 6.450
Ti Zn Sn O
4 4 2 14
direct
0.070 0.695 0.500 Ti
0.305 0.930 0.500 Ti
0.695 0.070 0.000 Ti
0.930 0.305 0.000 Ti
0.293 0.295 0.747 Zn
0.295 0.293 0.247 Zn
0.705 0.707 0.747 Zn
0.707 0.705 0.247 Zn
0.254 0.746 0.005 Sn
0.746 0.254 0.505 Sn
0.075 0.925 0.497 O
0.178 0.252 0.998 O
0.190 0.571 0.733 O
0.196 0.568 0.269 O
0.252 0.178 0.498 O
0.429 0.810 0.733 O
0.432 0.804 0.269 O
0.568 0.196 0.769 O
0.571 0.190 0.233 O
0.748 0.822 0.998 O
0.804 0.432 0.769 O
0.810 0.429 0.233 O
0.822 0.748 0.498 O
0.925 0.075 0.997 O
```

The 10 most intense peaks (2θ = 10–90°), in order of rising 2θ:
d 3.564, 25.0 deg, I 100; d 3.433, 26.0 deg, I 76; d 2.938, 30.4 deg, I 18; d 2.927, 30.5 deg, I 44; d 2.546, 35.3 deg, I 33; d 2.524, 35.6 deg, I 25; d 2.446, 36.7 deg, I 35; d 2.229, 40.5 deg, I 17; d 1.692, 54.2 deg, I 16; d 1.677, 54.7 deg, I 25



Record 7
Diffraction record for CePt4Rh. The powder X-ray diffraction pattern is theoretical, not measured: it uses a structure optimized by DFT (GGA-PBE) and CuKα.

Atomic structure:
```
CePt4Rh
1.0
5.370 0.000 0.000
-2.685 4.650 0.000
0.000 0.000 4.436
Ce Pt Rh
1 4 1
direct
0.000 0.000 0.000 Ce
0.001 0.501 0.500 Pt
0.499 0.501 0.500 Pt
0.499 0.999 0.500 Pt
0.667 0.333 0.000 Pt
0.333 0.667 0.000 Rh
```

The 10 most intense peaks (2θ = 10–90°), in order of rising 2θ:
d 4.650, 19.1 deg, I 35; d 3.210, 27.8 deg, I 25; d 2.325, 38.7 deg, I 43; d 2.297, 39.2 deg, I 100; d 2.218, 40.7 deg, I 39; d 2.059, 44.0 deg, I 64; d 1.605, 57.4 deg, I 28; d 1.463, 63.6 deg, I 24; d 1.342, 70.1 deg, I 24; d 1.148, 84.3 deg, I 30